# Dy2Si3Ir3
Calculated powder XRD pattern, a wavelength of 1.5418 Å. Input: a cell relaxed with PBE.
No peak broadening, texture or thermal motion is included.

Cell lengths 2.7859, 2.7859, 20.3612 Å; angles 90.00, 90.00, 90.00 degrees
Space group P4/mmm (No. 123)
Unique sites:
1 Dy 0.0000 0.0000 0.2409 [2 per cell]
2 Si 0.0000 0.0000 0.0000 [1 per cell]
3 Si 0.0000 0.0000 0.3870 [2 per cell]
4 Ir 0.0000 0.0000 0.1108 [2 per cell]
5 Ir 0.0000 0.0000 0.5000 [1 per cell]

Largest 10 diffraction maxima, in order of rising 2θ, 2θ from 5° to 70°:
- 2θ 13.0, d = 6.787 Å, intensity 58
- 2θ 21.8, d = 4.072 Å, intensity 19
- 2θ 32.1, d = 2.786 Å, intensity 100
- 2θ 34.8, d = 2.577 Å, intensity 24
- 2θ 35.3, d = 2.545 Å, intensity 29
- 2θ 39.2, d = 2.299 Å, intensity 17
- 2θ 46.1, d = 1.970 Å, intensity 37
- 2θ 48.4, d = 1.879 Å, intensity 47
- 2θ 59.3, d = 1.558 Å, intensity 26
- 2θ 67.2, d = 1.393 Å, intensity 12



# SmDyIr2
Calculated powder XRD pattern, a wavelength of 1.5418 Å. Input: a cell relaxed with PBE.
No peak broadening, texture or thermal motion is included.

Cell lengths 6.9387, 6.9387, 6.9387 Å; angles 90.00, 90.00, 90.00 degrees
Space group Fm-3m (No. 225)
Unique sites:
1 Sm 0.0000 0.0000 0.0000 [4 per cell]
2 Dy 0.0000 0.0000 0.5000 [4 per cell]
3 Ir 0.2500 0.2500 0.2500 [8 per cell]

Largest 5 diffraction maxima, in order of rising 2θ, 2θ from 5° to 70°:
- 2θ 25.7, d = 3.469 Å, intensity 1
- 2θ 36.6, d = 2.453 Å, intensity 100
- 2θ 52.8, d = 1.735 Å, intensity 18
- 2θ 59.6, d = 1.552 Å, intensity 1
- 2θ 66.0, d = 1.416 Å, intensity 36



# Dy2ZnIr
Calculated powder XRD pattern, a wavelength of 1.5418 Å. Input: a cell relaxed with PBE.
No peak broadening, texture or thermal motion is included.

Cell lengths 6.9705, 6.9705, 6.9705 Å; angles 90.00, 90.00, 90.00 degrees
Space group Fm-3m (No. 225)
Unique sites:
1 Dy 0.2500 0.2500 0.2500 [8 per cell]
2 Zn 0.0000 0.0000 0.0000 [4 per cell]
3 Ir 0.0000 0.0000 0.5000 [4 per cell]

Largest 8 diffraction maxima, in order of rising 2θ, 2θ from 5° to 70°:
- 2θ 22.1, d = 4.024 Å, intensity 9
- 2θ 25.6, d = 3.485 Å, intensity 1
- 2θ 36.5, d = 2.464 Å, intensity 100
- 2θ 43.0, d = 2.102 Å, intensity 5
- 2θ 52.5, d = 1.743 Å, intensity 18
- 2θ 57.6, d = 1.599 Å, intensity 2
- 2θ 59.3, d = 1.559 Å, intensity 1
- 2θ 65.6, d = 1.423 Å, intensity 36



# K3Dy
Calculated powder XRD pattern, a wavelength of 1.5418 Å. Input: a cell relaxed with PBE.
No peak broadening, texture or thermal motion is included.

Cell lengths 8.6086, 8.6086, 7.0792 Å; angles 90.00, 90.00, 120.00 degrees
Space group P6_3/mmc (No. 194)
Unique sites:
1 K 0.1713 0.3426 0.2500 [6 per cell]
2 Dy 0.3333 0.6667 0.7500 [2 per cell]

Largest 10 diffraction maxima, in order of rising 2θ, 2θ from 5° to 70°:
- 2θ 11.9, d = 7.455 Å, intensity 21
- 2θ 17.3, d = 5.134 Å, intensity 46
- 2θ 20.6, d = 4.304 Å, intensity 22
- 2θ 23.9, d = 3.728 Å, intensity 23
- 2θ 25.2, d = 3.540 Å, intensity 27
- 2θ 27.0, d = 3.298 Å, intensity 100
- 2θ 34.3, d = 2.618 Å, intensity 21
- 2θ 42.0, d = 2.152 Å, intensity 19
- 2θ 45.5, d = 1.994 Å, intensity 23
- 2θ 49.6, d = 1.839 Å, intensity 23



# K3Dy
Calculated powder XRD pattern, a wavelength of 1.5418 Å. Input: a cell relaxed with PBE.
No peak broadening, texture or thermal motion is included.

Cell lengths 9.7132, 9.7132, 9.7132 Å; angles 90.00, 90.00, 90.00 degrees
Space group Fm-3m (No. 225)
Unique sites:
1 K 0.0000 0.0000 0.0000 [4 per cell]
2 K 0.2500 0.2500 0.2500 [8 per cell]
3 Dy 0.0000 0.0000 0.5000 [4 per cell]

Largest 10 diffraction maxima, in order of rising 2θ, 2θ from 5° to 70°:
- 2θ 15.8, d = 5.608 Å, intensity 35
- 2θ 18.3, d = 4.857 Å, intensity 19
- 2θ 25.9, d = 3.434 Å, intensity 100
- 2θ 30.5, d = 2.929 Å, intensity 23
- 2θ 37.0, d = 2.428 Å, intensity 19
- 2θ 40.5, d = 2.228 Å, intensity 11
- 2θ 41.6, d = 2.172 Å, intensity 10
- 2θ 45.8, d = 1.983 Å, intensity 40
- 2θ 53.4, d = 1.717 Å, intensity 13
- 2θ 60.3, d = 1.536 Å, intensity 17



# K3Dy
Calculated powder XRD pattern, a wavelength of 1.5418 Å. Input: a cell relaxed with PBE.
No peak broadening, texture or thermal motion is included.

Cell lengths 5.8249, 5.8249, 13.2898 Å; angles 90.00, 90.00, 90.00 degrees
Space group I4/mmm (No. 139)
Unique sites:
1 K 0.0000 0.0000 0.0000 [2 per cell]
2 K 0.0000 0.5000 0.2500 [4 per cell]
3 Dy 0.0000 0.0000 0.5000 [2 per cell]

Largest 10 diffraction maxima, in order of rising 2θ, 2θ from 5° to 70°:
- 2θ 13.3, d = 6.645 Å, intensity 18
- 2θ 16.6, d = 5.335 Å, intensity 45
- 2θ 25.3, d = 3.526 Å, intensity 17
- 2θ 25.4, d = 3.501 Å, intensity 100
- 2θ 26.8, d = 3.322 Å, intensity 22
- 2θ 30.7, d = 2.912 Å, intensity 30
- 2θ 35.1, d = 2.556 Å, intensity 15
- 2θ 41.2, d = 2.190 Å, intensity 26
- 2θ 46.6, d = 1.951 Å, intensity 18
- 2θ 51.5, d = 1.775 Å, intensity 27



# KLaDyNbO6
Calculated powder XRD pattern, a wavelength of 1.5418 Å. Input: a cell relaxed with PBE.
No peak broadening, texture or thermal motion is included.

Cell lengths 8.4193, 8.4193, 8.4193 Å; angles 90.00, 90.00, 90.00 degrees
Space group F-43m (No. 216)
Unique sites:
1 K 0.0000 0.0000 0.0000 [4 per cell]
2 La 0.0000 0.0000 0.5000 [4 per cell]
3 Dy 0.2500 0.2500 0.2500 [4 per cell]
4 Nb 0.2500 0.2500 0.7500 [4 per cell]
5 O 0.0120 0.2500 0.7500 [24 per cell]

Largest 10 diffraction maxima, in order of rising 2θ, 2θ from 5° to 70°:
- 2θ 18.3, d = 4.861 Å, intensity 16
- 2θ 21.1, d = 4.210 Å, intensity 10
- 2θ 30.0, d = 2.977 Å, intensity 100
- 2θ 35.4, d = 2.539 Å, intensity 11
- 2θ 43.0, d = 2.105 Å, intensity 32
- 2θ 47.0, d = 1.932 Å, intensity 6
- 2θ 48.3, d = 1.883 Å, intensity 4
- 2θ 53.3, d = 1.719 Å, intensity 40
- 2θ 56.8, d = 1.620 Å, intensity 4
- 2θ 62.4, d = 1.488 Å, intensity 20



# KLaDySbO6
Calculated powder XRD pattern, a wavelength of 1.5418 Å. Input: a cell relaxed with PBE.
No peak broadening, texture or thermal motion is included.

Cell lengths 8.3737, 8.3737, 8.3737 Å; angles 90.00, 90.00, 90.00 degrees
Space group F-43m (No. 216)
Unique sites:
1 K 0.0000 0.0000 0.0000 [4 per cell]
2 La 0.0000 0.0000 0.5000 [4 per cell]
3 Dy 0.2500 0.2500 0.2500 [4 per cell]
4 Sb 0.2500 0.2500 0.7500 [4 per cell]
5 O 0.0126 0.2500 0.7500 [24 per cell]

Largest 10 diffraction maxima, in order of rising 2θ, 2θ from 5° to 70°:
- 2θ 18.4, d = 4.835 Å, intensity 12
- 2θ 21.2, d = 4.187 Å, intensity 13
- 2θ 30.2, d = 2.961 Å, intensity 100
- 2θ 35.6, d = 2.525 Å, intensity 8
- 2θ 43.2, d = 2.093 Å, intensity 31
- 2θ 47.3, d = 1.921 Å, intensity 4
- 2θ 48.6, d = 1.872 Å, intensity 5
- 2θ 53.6, d = 1.709 Å, intensity 40
- 2θ 57.2, d = 1.612 Å, intensity 3
- 2θ 62.8, d = 1.480 Å, intensity 19



# KPrDyNbO6
Calculated powder XRD pattern, a wavelength of 1.5418 Å. Input: a cell relaxed with PBE.
No peak broadening, texture or thermal motion is included.

Cell lengths 8.4083, 8.4083, 8.4083 Å; angles 90.00, 90.00, 90.00 degrees
Space group F-43m (No. 216)
Unique sites:
1 K 0.0000 0.0000 0.0000 [4 per cell]
2 Pr 0.0000 0.0000 0.5000 [4 per cell]
3 Dy 0.2500 0.2500 0.2500 [4 per cell]
4 Nb 0.2500 0.2500 0.7500 [4 per cell]
5 O 0.0121 0.2500 0.7500 [24 per cell]

Largest 10 diffraction maxima, in order of rising 2θ, 2θ from 5° to 70°:
- 2θ 18.3, d = 4.855 Å, intensity 17
- 2θ 21.1, d = 4.204 Å, intensity 9
- 2θ 30.1, d = 2.973 Å, intensity 100
- 2θ 35.4, d = 2.535 Å, intensity 12
- 2θ 43.0, d = 2.102 Å, intensity 32
- 2θ 47.1, d = 1.929 Å, intensity 6
- 2θ 53.4, d = 1.716 Å, intensity 40
- 2θ 56.9, d = 1.618 Å, intensity 4
- 2θ 62.5, d = 1.486 Å, intensity 19
- 2θ 65.7, d = 1.421 Å, intensity 4



# KNdDySbO6
Calculated powder XRD pattern, a wavelength of 1.5418 Å. Input: a cell relaxed with PBE.
No peak broadening, texture or thermal motion is included.

Cell lengths 8.3465, 8.3465, 8.3465 Å; angles 90.00, 90.00, 90.00 degrees
Space group F-43m (No. 216)
Unique sites:
1 K 0.0000 0.0000 0.0000 [4 per cell]
2 Nd 0.0000 0.0000 0.5000 [4 per cell]
3 Dy 0.2500 0.2500 0.2500 [4 per cell]
4 Sb 0.2500 0.2500 0.7500 [4 per cell]
5 O 0.0124 0.2500 0.7500 [24 per cell]

Largest 10 diffraction maxima, in order of rising 2θ, 2θ from 5° to 70°:
- 2θ 18.4, d = 4.819 Å, intensity 13
- 2θ 21.3, d = 4.173 Å, intensity 11
- 2θ 30.3, d = 2.951 Å, intensity 100
- 2θ 35.7, d = 2.517 Å, intensity 9
- 2θ 43.4, d = 2.087 Å, intensity 31
- 2θ 47.5, d = 1.915 Å, intensity 4
- 2θ 48.8, d = 1.866 Å, intensity 5
- 2θ 53.8, d = 1.704 Å, intensity 40
- 2θ 57.4, d = 1.606 Å, intensity 3
- 2θ 63.0, d = 1.475 Å, intensity 19



# KDyO2
Calculated powder XRD pattern, a wavelength of 1.5418 Å. Input: a cell relaxed with PBE.
No peak broadening, texture or thermal motion is included.

Cell lengths 3.4814, 3.4814, 18.7991 Å; angles 90.00, 90.00, 120.00 degrees
Space group R-3m (No. 166, hexagonal axes)
Unique sites:
1 K 0.0000 0.0000 0.0000 [3 per cell]
2 Dy 0.0000 0.0000 0.5000 [3 per cell]
3 O 0.0000 0.0000 0.2284 [6 per cell]

Largest 10 diffraction maxima, in order of rising 2θ, 2θ from 5° to 70°:
- 2θ 14.1, d = 6.266 Å, intensity 100
- 2θ 28.5, d = 3.133 Å, intensity 35
- 2θ 30.0, d = 2.977 Å, intensity 38
- 2θ 31.2, d = 2.871 Å, intensity 75
- 2θ 35.4, d = 2.538 Å, intensity 100
- 2θ 45.2, d = 2.005 Å, intensity 20
- 2θ 49.2, d = 1.853 Å, intensity 34
- 2θ 52.6, d = 1.741 Å, intensity 31
- 2θ 54.7, d = 1.677 Å, intensity 20
- 2θ 60.9, d = 1.522 Å, intensity 25



# KDyO3
Calculated powder XRD pattern, a wavelength of 1.5418 Å. Input: a cell relaxed with PBE.
No peak broadening, texture or thermal motion is included.

Cell lengths 4.4686, 4.4686, 4.4686 Å; angles 90.00, 90.00, 90.00 degrees
Space group Pm-3m (No. 221)
Unique sites:
1 K 0.0000 0.0000 0.0000 [1 per cell]
2 Dy 0.5000 0.5000 0.5000 [1 per cell]
3 O 0.0000 0.5000 0.5000 [3 per cell]

Largest 10 diffraction maxima, in order of rising 2θ, 2θ from 5° to 70°:
- 2θ 19.9, d = 4.469 Å, intensity 64
- 2θ 28.2, d = 3.160 Å, intensity 100
- 2θ 34.8, d = 2.580 Å, intensity 5
- 2θ 40.4, d = 2.234 Å, intensity 35
- 2θ 45.4, d = 1.998 Å, intensity 30
- 2θ 50.0, d = 1.824 Å, intensity 41
- 2θ 58.4, d = 1.580 Å, intensity 22
- 2θ 62.3, d = 1.490 Å, intensity 15
- 2θ 66.1, d = 1.413 Å, intensity 18
- 2θ 69.8, d = 1.347 Å, intensity 4



# KPrDySbO6
Calculated powder XRD pattern, a wavelength of 1.5418 Å. Input: a cell relaxed with PBE.
No peak broadening, texture or thermal motion is included.

Cell lengths 8.3551, 8.3551, 8.3551 Å; angles 90.00, 90.00, 90.00 degrees
Space group F-43m (No. 216)
Unique sites:
1 K 0.0000 0.0000 0.0000 [4 per cell]
2 Pr 0.0000 0.0000 0.5000 [4 per cell]
3 Dy 0.2500 0.2500 0.2500 [4 per cell]
4 Sb 0.2500 0.2500 0.7500 [4 per cell]
5 O 0.0125 0.2500 0.7500 [24 per cell]

Largest 10 diffraction maxima, in order of rising 2θ, 2θ from 5° to 70°:
- 2θ 18.4, d = 4.824 Å, intensity 13
- 2θ 21.3, d = 4.178 Å, intensity 12
- 2θ 30.3, d = 2.954 Å, intensity 100
- 2θ 35.6, d = 2.519 Å, intensity 8
- 2θ 43.3, d = 2.089 Å, intensity 31
- 2θ 47.4, d = 1.917 Å, intensity 4
- 2θ 48.7, d = 1.868 Å, intensity 5
- 2θ 53.7, d = 1.705 Å, intensity 40
- 2θ 57.3, d = 1.608 Å, intensity 3
- 2θ 62.9, d = 1.477 Å, intensity 19



# KDyS2O9
Calculated powder XRD pattern, a wavelength of 1.5418 Å. Input: a cell relaxed with PBE.
No peak broadening, texture or thermal motion is included.

Cell lengths 10.1030, 8.5225, 10.3086 Å; angles 90.00, 117.50, 90.00 degrees
Space group P2_1/c (No. 14)
Unique sites:
1 K 0.2202 0.1777 0.1902 [4 per cell]
2 Dy 0.2488 0.6315 0.0302 [4 per cell]
3 S 0.0567 0.6347 0.1844 [4 per cell]
4 S 0.4932 0.6978 0.8918 [4 per cell]
5 O 0.0610 0.7454 0.5793 [4 per cell]
6 O 0.0887 0.7074 0.3259 [4 per cell]
7 O 0.0952 0.0644 0.3760 [4 per cell]
8 O 0.1685 0.5135 0.1972 [4 per cell]
9 O 0.3374 0.6121 0.5666 [4 per cell]
10 O 0.3643 0.6031 0.8807 [4 per cell]
11 O 0.3896 0.0961 0.6123 [4 per cell]
12 O 0.4406 0.6971 0.2603 [4 per cell]
13 O 0.4433 0.2083 0.9723 [4 per cell]

Largest 10 diffraction maxima, in order of rising 2θ, 2θ from 5° to 70°:
- 2θ 14.2, d = 6.235 Å, intensity 100
- 2θ 14.3, d = 6.176 Å, intensity 69
- 2θ 20.4, d = 4.354 Å, intensity 23
- 2θ 25.6, d = 3.475 Å, intensity 14
- 2θ 26.9, d = 3.320 Å, intensity 63
- 2θ 27.7, d = 3.218 Å, intensity 36
- 2θ 28.7, d = 3.107 Å, intensity 17
- 2θ 29.1, d = 3.071 Å, intensity 50
- 2θ 33.0, d = 2.711 Å, intensity 17
- 2θ 34.2, d = 2.624 Å, intensity 18